(1)
Zn2GeAs3: simulated powder XRD pattern (Cu Kα, 1.54184 Å), based on the GGA-PBE geometry in Alexandria.

Structural model:
abc: 7.026 7.026 6.918
angles: 99.42 99.42 120.11
Sites, in units of the cell vectors:
Zn: 0.083 0.917 0.500
Zn: 0.260 0.757 0.001
Zn: 0.757 0.260 0.501
Zn: 0.917 0.083 0.000
Ge: 0.429 0.596 0.507
Ge: 0.596 0.429 0.007
As: 0.131 0.631 0.623
As: 0.294 0.460 0.125
As: 0.460 0.294 0.625
As: 0.631 0.131 0.123
As: 0.797 0.968 0.623
As: 0.968 0.797 0.123

Most intense lines, 2θ = 10–90°, in order of rising 2θ:
- 2θ 26.98, rel. 100
- 2θ 27.29, rel. 34
- 2θ 44.71, rel. 51
- 2θ 44.90, rel. 17
- 2θ 45.23, rel. 33
- 2θ 52.94, rel. 21
- 2θ 53.14, rel. 15
- 2θ 53.42, rel. 19
- 2θ 65.18, rel. 11
- 2θ 82.35, rel. 11

(2)
NpCuAgCl6: simulated powder XRD pattern (Cu Kα, 1.54184 Å), based on the GGA-PBE geometry in Alexandria.

Structural model:
abc: 6.502 6.502 12.501
angles: 90.00 90.00 120.00
Sites, in units of the cell vectors:
Np: 0.333 0.667 0.250
Np: 0.667 0.333 0.750
Cu: 0.333 0.667 0.750
Cu: 0.667 0.333 0.250
Ag: 0.000 0.000 0.000
Ag: 0.000 0.000 0.500
Cl: 0.011 0.352 0.631
Cl: 0.011 0.659 0.869
Cl: 0.341 0.352 0.869
Cl: 0.341 0.989 0.631
Cl: 0.352 0.011 0.131
Cl: 0.352 0.341 0.369
Cl: 0.648 0.659 0.631
Cl: 0.648 0.989 0.869
Cl: 0.659 0.011 0.369
Cl: 0.659 0.648 0.131
Cl: 0.989 0.341 0.131
Cl: 0.989 0.648 0.369

Most intense lines, 2θ = 10–90°, in order of rising 2θ:
- 2θ 14.17, rel. 24
- 2θ 17.27, rel. 39
- 2θ 21.24, rel. 100
- 2θ 27.44, rel. 35
- 2θ 31.01, rel. 38
- 2θ 34.95, rel. 28
- 2θ 40.02, rel. 75
- 2θ 45.00, rel. 28
- 2θ 48.50, rel. 30
- 2θ 84.79, rel. 18

(3)
Na2SbPd3: simulated powder XRD pattern (Cu Kα, 1.54184 Å), based on the GGA-PBE geometry in Alexandria.

Structural model:
abc: 5.338 5.338 5.338
angles: 64.53 64.53 64.53
Sites, in units of the cell vectors:
Na: 0.123 0.123 0.123
Na: 0.877 0.877 0.877
Sb: 0.500 0.500 0.500
Pd: 0.000 0.500 0.500
Pd: 0.500 0.000 0.500
Pd: 0.500 0.500 0.000

Most intense lines, 2θ = 10–90°, in order of rising 2θ:
- 2θ 19.31, rel. 100
- 2θ 21.14, rel. 21
- 2θ 37.12, rel. 29
- 2θ 38.16, rel. 64
- 2θ 39.20, rel. 86
- 2θ 40.15, rel. 28
- 2θ 43.04, rel. 21
- 2θ 46.75, rel. 41
- 2θ 65.52, rel. 22
- 2θ 81.64, rel. 19

(4)
TlTe2Au2: simulated powder XRD pattern (Cu Kα, 1.54184 Å), based on the GGA-PBE geometry in Alexandria.

Structural model:
abc: 7.262 7.262 7.262
angles: 106.26 106.26 116.09
Sites, in units of the cell vectors:
Tl: 0.000 0.000 0.000
Tl: 0.500 0.500 0.000
Te: 0.082 0.582 0.200
Te: 0.381 0.881 0.800
Te: 0.582 0.381 0.500
Te: 0.881 0.082 0.500
Au: 0.025 0.525 0.797
Au: 0.228 0.025 0.500
Au: 0.525 0.728 0.500
Au: 0.728 0.228 0.203

Most intense lines, 2θ = 10–90°, in order of rising 2θ:
- 2θ 23.14, rel. 21
- 2θ 25.63, rel. 67
- 2θ 27.35, rel. 46
- 2θ 31.03, rel. 30
- 2θ 32.49, rel. 100
- 2θ 42.21, rel. 74
- 2θ 48.01, rel. 25
- 2θ 50.38, rel. 24
- 2θ 65.25, rel. 15
- 2θ 68.60, rel. 29

(5)
NaTiGaO4: simulated powder XRD pattern (Cu Kα, 1.54184 Å), based on the GGA-PBE geometry in Alexandria.

Structural model:
abc: 5.728 5.728 6.337
angles: 90.00 90.00 112.32
Sites, in units of the cell vectors:
Na: 0.000 0.000 0.000
Na: 0.000 0.000 0.500
Ti: 0.363 0.637 0.750
Ti: 0.637 0.363 0.250
Ga: 0.356 0.644 0.250
Ga: 0.644 0.356 0.750
O: 0.260 0.740 0.501
O: 0.260 0.740 0.999
O: 0.287 0.296 0.750
O: 0.296 0.287 0.250
O: 0.704 0.713 0.750
O: 0.713 0.704 0.250
O: 0.740 0.260 0.001
O: 0.740 0.260 0.499

Most intense lines, 2θ = 10–90°, in order of rising 2θ:
- 2θ 16.73, rel. 96
- 2θ 27.97, rel. 76
- 2θ 28.17, rel. 31
- 2θ 31.50, rel. 82
- 2θ 32.94, rel. 100
- 2θ 42.76, rel. 19
- 2θ 47.81, rel. 26
- 2θ 51.75, rel. 28
- 2θ 56.31, rel. 60
- 2θ 58.23, rel. 19

(6)
RbTaCdS4: simulated powder XRD pattern (Cu Kα, 1.54184 Å), based on the GGA-PBE geometry in Alexandria.

Structural model:
abc: 6.178 7.289 9.544
angles: 90.00 106.36 90.00
Sites, in units of the cell vectors:
Rb: 0.250 0.250 0.104
Rb: 0.750 0.750 0.896
Ta: 0.362 0.250 0.701
Ta: 0.638 0.750 0.299
Cd: 0.142 0.750 0.490
Cd: 0.858 0.250 0.510
S: 0.126 0.003 0.702
S: 0.126 0.497 0.702
S: 0.336 0.750 0.102
S: 0.441 0.250 0.481
S: 0.559 0.750 0.519
S: 0.664 0.250 0.898
S: 0.874 0.503 0.298
S: 0.874 0.997 0.298

Most intense lines, 2θ = 10–90°, in order of rising 2θ:
- 2θ 15.35, rel. 36
- 2θ 15.54, rel. 79
- 2θ 20.91, rel. 87
- 2θ 22.94, rel. 41
- 2θ 23.47, rel. 56
- 2θ 24.42, rel. 100
- 2θ 31.43, rel. 48
- 2θ 32.36, rel. 68
- 2θ 32.61, rel. 52
- 2θ 44.58, rel. 39